[1]
For Sm4Sn8Rh, a crystal structure in Alexandria, relaxed with PBE gives the simulated powder X-ray diffraction pattern in this record (λ = 1.5418 Å (Cu Kα)).

Principal peaks in the range 10° ≤ 2θ ≤ 90°, sorted by position:
2.839 Å, I = 15.2, (0 0 6)
2.771 Å, I = 100.0, (1 1 3)
2.395 Å, I = 10.5, (1 0 6)
2.260 Å, I = 19.9, (0 2 0)
2.229 Å, I = 19.1, (2 0 0)
1.768 Å, I = 8.2, (0 2 6)
1.644 Å, I = 8.2, (1 2 6)
1.587 Å, I = 13.5, (2 2 0)
1.385 Å, I = 19.4, (1 3 3)
1.370 Å, I = 11.9, (3 1 3)

Structural model:
```
Sm4Sn8Rh
1.0
4.4579 0.0000 0.0000
0.0000 4.5207 0.0000
0.0000 0.0000 17.0357
Sm Sn Rh
4 8 1
Cartesian
0.0000 0.0000 0.0000 Sm
0.0000 2.2604 8.3038 Sm
2.2289 0.0000 13.4214 Sm
2.2289 2.2604 4.9820 Sm
0.0000 0.0000 5.5589 Sn
0.0000 0.0000 10.6536 Sn
0.0000 2.2604 2.4778 Sn
0.0000 2.2604 14.5659 Sn
2.2289 0.0000 2.5183 Sn
2.2289 0.0000 7.6378 Sn
2.2289 2.2604 10.6273 Sn
2.2289 2.2604 16.5225 Sn
0.0000 2.2604 11.9965 Rh
```

---

[2]
For TbSm4Rh5, a crystal structure in Alexandria, relaxed with PBE gives the simulated powder X-ray diffraction pattern in this record (λ = 1.5418 Å (Cu Kα)).

Principal peaks in the range 10° ≤ 2θ ≤ 90°, sorted by position:
2.497 Å, I = 52.5, (1 1 0)
2.458 Å, I = 100.0, (1 0 5)
1.766 Å, I = 18.4, (2 0 0)
1.712 Å, I = 8.2, (0 0 10)
1.434 Å, I = 36.7, (2 1 5)
1.412 Å, I = 17.2, (1 1 10)
1.248 Å, I = 5.8, (2 2 0)
1.229 Å, I = 10.9, (2 0 10)
1.117 Å, I = 8.4, (3 1 0)
1.113 Å, I = 8.3, (3 0 5)

Structural model:
```
TbSm4Rh5
1.0
3.5312 0.0000 0.0000
0.0000 3.5312 0.0000
0.0000 0.0000 17.1154
Tb Sm Rh
1 4 5
Cartesian
0.0000 0.0000 0.0000 Tb
0.0000 0.0000 3.3920 Sm
0.0000 0.0000 6.8345 Sm
0.0000 0.0000 10.2809 Sm
0.0000 0.0000 13.7233 Sm
1.7656 1.7656 1.6552 Rh
1.7656 1.7656 5.1089 Rh
1.7656 1.7656 8.5577 Rh
1.7656 1.7656 12.0065 Rh
1.7656 1.7656 15.4601 Rh
```

---

[3]
For TbSm3Rh4, a crystal structure in Alexandria, relaxed with PBE gives the simulated powder X-ray diffraction pattern in this record (λ = 1.5418 Å (Cu Kα)).

Principal peaks in the range 10° ≤ 2θ ≤ 90°, sorted by position:
2.488 Å, I = 52.1, (0 2 0)
2.451 Å, I = 100.0, (1 1 2)
1.759 Å, I = 18.2, (0 2 4)
1.708 Å, I = 8.3, (2 0 0)
1.429 Å, I = 36.5, (1 3 2)
1.408 Å, I = 17.4, (2 2 0)
1.244 Å, I = 5.7, (0 4 0)
1.226 Å, I = 10.9, (2 2 4)
1.113 Å, I = 8.3, (0 4 4)
1.109 Å, I = 8.2, (1 3 6)

Structural model:
```
TbSm3Rh4
1.0
3.4168 0.0000 0.0000
0.0000 4.9745 0.0000
0.0000 0.0000 9.9569
Tb Sm Rh
1 3 4
Cartesian
0.0000 0.0000 0.0000 Tb
0.0000 0.0000 4.9784 Sm
0.0000 2.4873 2.4736 Sm
0.0000 2.4873 7.4833 Sm
1.7084 0.0000 2.4468 Rh
1.7084 0.0000 7.5101 Rh
1.7084 2.4873 0.0000 Rh
1.7084 2.4873 4.9784 Rh
```